Computed powder X-ray diffraction pattern of MgFe12O12F12 for CuKα, from a PBE+U-relaxed structure.

Principal peaks in the range 5° ≤ 2θ ≤ 70°, sorted by position:
- 2θ = 25.6°, I = 73.3, hkl 2 0 -3
- 2θ = 26.5°, I = 89.6, hkl 2 0 3
- 2θ = 34.4°, I = 100.0, hkl 2 1 0
- 2θ = 39.6°, I = 19.3, hkl 2 1 3
- 2θ = 50.9°, I = 19.3, hkl 4 1 -3
- 2θ = 51.1°, I = 18.7, hkl 2 1 -6
- 2θ = 52.0°, I = 26.5, hkl 4 1 3
- 2θ = 52.1°, I = 29.0, hkl 2 1 6
- 2θ = 59.7°, I = 24.2, hkl 0 2 0
- 2θ = 65.1°, I = 15.8, hkl 6 1 0

Cell lengths 9.710, 3.100, 14.466 Å; angles 90.00, 92.10, 90.00 degrees
Space group Pm (No. 6)
Symmetry-distinct sites (fractional):
Mg: 0.000 0.000 0.000 x1
Fe: 0.024 0.000 0.525 x1
Fe: 0.030 0.000 0.186 x1
Fe: 0.073 0.000 0.812 x1
Fe: 0.266 0.500 0.338 x1
Fe: 0.269 0.500 0.009 x1
Fe: 0.271 0.500 0.663 x1
Fe: 0.515 0.000 0.203 x1
Fe: 0.533 0.000 0.842 x1
Fe: 0.548 0.000 0.510 x1
Fe: 0.736 0.500 0.053 x1
Fe: 0.753 0.500 0.349 x1
Fe: 0.778 0.500 0.664 x1
O: 0.094 0.500 0.099 x1
O: 0.164 0.500 0.767 x1
O: 0.170 0.000 0.281 x1
O: 0.183 0.000 0.946 x1
O: 0.195 0.000 0.598 x1
O: 0.419 0.500 0.259 x1
O: 0.587 0.500 0.126 x1
O: 0.622 0.500 0.448 x1
O: 0.679 0.000 0.615 x1
O: 0.684 0.000 0.284 x1
O: 0.853 0.000 0.091 x1
O: 0.933 0.500 0.579 x1
F: 0.113 0.500 0.443 x1
F: 0.355 0.000 0.085 x1
F: 0.360 0.000 0.419 x1
F: 0.400 0.000 0.730 x1
F: 0.430 0.500 0.919 x1
F: 0.439 0.500 0.573 x1
F: 0.648 0.500 0.783 x1
F: 0.670 0.000 0.959 x1
F: 0.875 0.000 0.413 x1
F: 0.879 0.000 0.743 x1
F: 0.930 0.500 0.251 x1
F: 0.931 0.500 0.927 x1

***

Computed powder X-ray diffraction pattern of MgFe4O4F4 for CuKα, from a PBE+U-relaxed structure.

Principal peaks in the range 5° ≤ 2θ ≤ 70°, sorted by position:
- 2θ = 19.9°, I = 38.3, hkl 1 -1 0
- 2θ = 25.6°, I = 100.0, hkl -1 1 1
- 2θ = 27.2°, I = 55.2, hkl 1 -1 1
- 2θ = 33.2°, I = 67.1, hkl 1 1 0
- 2θ = 33.3°, I = 65.2, hkl 1 1 -2
- 2θ = 34.8°, I = 37.6, hkl 0 0 2
- 2θ = 43.6°, I = 35.3, hkl 1 -2 2
- 2θ = 44.0°, I = 35.1, hkl 2 -1 1
- 2θ = 58.3°, I = 32.5, hkl 2 2 -2
- 2θ = 61.5°, I = 39.2, hkl 1 1 -4

Cell lengths 5.421, 5.532, 6.047 Å; angles 105.38, 109.62, 109.40 degrees
Space group P1 (No. 1)
Symmetry-distinct sites (fractional):
Mg: 0.000 0.000 0.000 x1
Fe: 0.000 0.949 0.515 x1
Fe: 0.302 0.651 0.014 x1
Fe: 0.429 0.489 0.487 x1
Fe: 0.636 0.300 0.985 x1
O: 0.078 0.406 0.139 x1
O: 0.272 0.942 0.852 x1
O: 0.291 0.377 0.732 x1
O: 0.646 0.554 0.274 x1
F: 0.264 0.994 0.312 x1
F: 0.696 0.952 0.680 x1
F: 0.738 0.984 0.183 x1
F: 0.825 0.565 0.826 x1

***

Computed powder X-ray diffraction pattern of MgFe6O6F6 for CuKα, from a PBE+U-relaxed structure.

Principal peaks in the range 5° ≤ 2θ ≤ 70°, sorted by position:
- 2θ = 17.6°, I = 36.0, hkl 1 0 -2
- 2θ = 23.8°, I = 93.5, hkl 2 0 -1
- 2θ = 26.0°, I = 70.8, hkl 0 0 3
- 2θ = 34.0°, I = 100.0, hkl 1 1 1
- 2θ = 37.8°, I = 33.8, hkl 2 1 -1
- 2θ = 38.8°, I = 26.3, hkl 2 1 -2
- 2θ = 48.8°, I = 21.7, hkl 3 1 0
- 2θ = 48.9°, I = 28.8, hkl 3 1 -3
- 2θ = 51.2°, I = 33.8, hkl 1 1 -5
- 2θ = 59.9°, I = 25.5, hkl 0 2 0

Cell lengths 7.475, 3.087, 10.920 Å; angles 90.00, 109.75, 90.00 degrees
Space group Pm (No. 6)
Symmetry-distinct sites (fractional):
Mg: 0.000 0.000 0.000 x1
Fe: 0.203 0.000 0.766 x1
Fe: 0.373 0.500 0.201 x1
Fe: 0.418 0.000 0.492 x1
Fe: 0.632 0.500 0.848 x1
Fe: 0.765 0.000 0.160 x1
Fe: 0.994 0.500 0.499 x1
O: 0.061 0.500 0.686 x1
O: 0.169 0.000 0.498 x1
O: 0.426 0.500 0.387 x1
O: 0.480 0.000 0.854 x1
O: 0.505 0.000 0.169 x1
O: 0.819 0.500 0.029 x1
F: 0.164 0.000 0.186 x1
F: 0.171 0.500 0.993 x1
F: 0.526 0.500 0.637 x1
F: 0.808 0.000 0.481 x1
F: 0.814 0.000 0.821 x1
F: 0.885 0.500 0.296 x1

***

Computed powder X-ray diffraction pattern of MgFe12O12F12 for CuKα, from a PBE+U-relaxed structure.

Principal peaks in the range 5° ≤ 2θ ≤ 70°, sorted by position:
- 2θ = 25.3°, I = 75.5, hkl 2 0 -3
- 2θ = 26.4°, I = 100.0, hkl 2 0 3
- 2θ = 30.0°, I = 21.1, hkl 2 0 -4
- 2θ = 34.0°, I = 76.3, hkl 2 1 0
- 2θ = 34.1°, I = 55.4, hkl 0 1 3
- 2θ = 39.2°, I = 30.5, hkl 2 1 3
- 2θ = 51.5°, I = 31.2, hkl 4 1 3
- 2θ = 51.8°, I = 29.7, hkl 2 1 6
- 2θ = 59.0°, I = 27.6, hkl 0 2 0
- 2θ = 64.3°, I = 16.8, hkl 6 1 0

Cell lengths 9.819, 3.131, 14.526 Å; angles 90.00, 92.27, 90.00 degrees
Space group Pm (No. 6)
Symmetry-distinct sites (fractional):
Mg: 0.000 0.000 0.000 x1
Fe: 0.029 0.000 0.485 x1
Fe: 0.053 0.000 0.772 x1
Fe: 0.261 0.500 0.338 x1
Fe: 0.264 0.500 0.639 x1
Fe: 0.287 0.500 0.976 x1
Fe: 0.520 0.000 0.165 x1
Fe: 0.520 0.000 0.475 x1
Fe: 0.544 0.000 0.806 x1
Fe: 0.705 0.500 0.995 x1
Fe: 0.731 0.500 0.327 x1
Fe: 0.776 0.500 0.666 x1
Fe: 0.992 0.000 0.244 x1
O: 0.099 0.500 0.425 x1
O: 0.148 0.500 0.747 x1
O: 0.173 0.000 0.587 x1
O: 0.182 0.000 0.267 x1
O: 0.360 0.000 0.398 x1
O: 0.589 0.500 0.096 x1
O: 0.615 0.500 0.435 x1
O: 0.621 0.500 0.751 x1
O: 0.643 0.000 0.270 x1
O: 0.646 0.000 0.924 x1
O: 0.870 0.000 0.722 x1
O: 0.883 0.500 0.243 x1
F: 0.105 0.500 0.053 x1
F: 0.151 0.000 0.910 x1
F: 0.358 0.000 0.055 x1
F: 0.378 0.000 0.713 x1
F: 0.410 0.500 0.220 x1
F: 0.416 0.500 0.871 x1
F: 0.431 0.500 0.562 x1
F: 0.678 0.000 0.594 x1
F: 0.827 0.000 0.060 x1
F: 0.848 0.000 0.405 x1
F: 0.911 0.500 0.929 x1
F: 0.920 0.500 0.561 x1

***

Computed powder X-ray diffraction pattern of MgFe4O4F4 for CuKα, from a PBE+U-relaxed structure.

Principal peaks in the range 5° ≤ 2θ ≤ 70°, sorted by position:
- 2θ = 22.1°, I = 79.8, hkl 0 1 -2
- 2θ = 27.1°, I = 100.0, hkl 0 1 2
- 2θ = 29.1°, I = 45.6, hkl 0 1 -3
- 2θ = 34.0°, I = 43.3, hkl 1 -1 0
- 2θ = 34.3°, I = 33.1, hkl 1 1 0
- 2θ = 34.6°, I = 32.1, hkl 1 0 -2
- 2θ = 34.9°, I = 35.1, hkl 1 0 2
- 2θ = 49.9°, I = 28.8, hkl 1 2 -3
- 2θ = 52.2°, I = 25.4, hkl 0 2 -5
- 2θ = 61.2°, I = 27.6, hkl 2 0 0

Cell lengths 3.030, 5.381, 10.045 Å; angles 101.41, 90.44, 90.44 degrees
Space group P1 (No. 1)
Symmetry-distinct sites (fractional):
Mg: 0.000 0.000 0.000 x1
Fe: 0.004 0.179 0.285 x1
Fe: 0.013 0.220 0.715 x1
Fe: 0.501 0.494 0.026 x1
Fe: 0.511 0.687 0.512 x1
O: 0.007 0.493 0.403 x1
O: 0.013 0.297 0.913 x1
O: 0.015 0.885 0.599 x1
O: 0.501 0.198 0.152 x1
F: 0.496 0.805 0.912 x1
F: 0.504 0.002 0.371 x1
F: 0.513 0.433 0.642 x1
F: 0.987 0.748 0.129 x1

***

Computed powder X-ray diffraction pattern of MgFe6O6F6 for CuKα, from a PBE+U-relaxed structure.

Principal peaks in the range 5° ≤ 2θ ≤ 70°, sorted by position:
- 2θ = 25.0°, I = 81.2, hkl 0 0 3
- 2θ = 25.7°, I = 100.0, hkl 0 2 1
- 2θ = 33.9°, I = 68.6, hkl 1 -1 1
- 2θ = 34.1°, I = 25.9, hkl 1 1 2
- 2θ = 34.3°, I = 21.9, hkl -1 1 2
- 2θ = 39.0°, I = 25.2, hkl -1 2 1
- 2θ = 50.6°, I = 40.1, hkl 1 3 0
- 2θ = 51.1°, I = 18.2, hkl 1 3 3
- 2θ = 51.3°, I = 29.0, hkl -1 3 3
- 2θ = 59.6°, I = 27.3, hkl 2 0 0

Cell lengths 3.102, 6.937, 11.143 Å; angles 73.36, 89.78, 89.92 degrees
Space group P1 (No. 1)
Symmetry-distinct sites (fractional):
Mg: 0.000 0.000 0.000 x1
Fe: 0.450 0.993 0.491 x1
Fe: 0.479 0.318 0.783 x1
Fe: 0.484 0.618 0.143 x1
Fe: 0.949 0.814 0.822 x1
Fe: 0.950 0.161 0.224 x1
Fe: 0.962 0.450 0.497 x1
O: 0.449 0.039 0.315 x1
O: 0.461 0.432 0.609 x1
O: 0.491 0.800 0.969 x1
O: 0.951 0.169 0.500 x1
O: 0.980 0.138 0.815 x1
O: 0.983 0.455 0.148 x1
F: 0.437 0.865 0.691 x1
F: 0.467 0.534 0.362 x1
F: 0.497 0.168 0.026 x1
F: 0.952 0.777 0.503 x1
F: 0.964 0.502 0.825 x1
F: 0.981 0.816 0.172 x1

***

Computed powder X-ray diffraction pattern of MgFe6O6F6 for CuKα, from a PBE+U-relaxed structure.

Principal peaks in the range 5° ≤ 2θ ≤ 70°, sorted by position:
- 2θ = 18.7°, I = 20.7, hkl 0 0 3
- 2θ = 25.0°, I = 73.5, hkl 0 1 -3
- 2θ = 26.1°, I = 100.0, hkl 0 1 3
- 2θ = 29.9°, I = 38.8, hkl 0 1 -4
- 2θ = 33.7°, I = 58.3, hkl 1 -1 0
- 2θ = 34.3°, I = 26.8, hkl 1 0 -3
- 2θ = 34.5°, I = 28.1, hkl 1 0 3
- 2θ = 39.2°, I = 27.7, hkl 1 1 3
- 2θ = 50.6°, I = 20.9, hkl 1 2 3
- 2θ = 59.3°, I = 27.1, hkl 2 0 0

Cell lengths 3.116, 5.128, 14.280 Å; angles 92.45, 90.30, 90.06 degrees
Space group P1 (No. 1)
Symmetry-distinct sites (fractional):
Mg: 0.000 0.000 0.000 x1
Fe: 0.003 0.333 0.333 x1
Fe: 0.011 0.428 0.621 x1
Fe: 0.020 0.500 0.945 x1
Fe: 0.496 0.895 0.200 x1
Fe: 0.508 0.925 0.494 x1
Fe: 0.509 0.980 0.812 x1
O: 0.009 0.094 0.556 x1
O: 0.010 0.167 0.870 x1
O: 0.505 0.188 0.394 x1
O: 0.510 0.613 0.581 x1
O: 0.517 0.761 0.926 x1
O: 0.997 0.112 0.221 x1
F: 0.007 0.708 0.422 x1
F: 0.009 0.767 0.750 x1
F: 0.025 0.717 0.086 x1
F: 0.503 0.236 0.030 x1
F: 0.505 0.555 0.271 x1
F: 0.508 0.263 0.713 x1

***

Computed powder X-ray diffraction pattern of MgFe4O4F4 for CuKα, from a PBE+U-relaxed structure.

Principal peaks in the range 5° ≤ 2θ ≤ 70°, sorted by position:
- 2θ = 24.0°, I = 91.8, hkl 1 0 -2
- 2θ = 25.5°, I = 100.0, hkl 1 0 2
- 2θ = 31.2°, I = 31.2, hkl 1 0 -3
- 2θ = 34.2°, I = 65.2, hkl 1 1 0
- 2θ = 34.7°, I = 85.2, hkl 0 1 2
- 2θ = 35.2°, I = 26.2, hkl 1 1 -1
- 2θ = 39.4°, I = 38.4, hkl 1 1 2
- 2θ = 50.4°, I = 29.5, hkl 2 1 2
- 2θ = 52.8°, I = 30.6, hkl 2 1 -3
- 2θ = 61.2°, I = 28.3, hkl 0 2 0

Cell lengths 5.238, 3.029, 9.927 Å; angles 90.00, 93.40, 90.00 degrees
Space group Pm (No. 6)
Symmetry-distinct sites (fractional):
Mg: 0.000 0.000 0.000 x1
Fe: 0.331 0.000 0.505 x1
Fe: 0.523 0.000 0.978 x1
Fe: 0.861 0.500 0.283 x1
Fe: 0.915 0.500 0.721 x1
O: 0.065 0.000 0.357 x1
O: 0.197 0.500 0.594 x1
O: 0.758 0.000 0.153 x1
O: 0.771 0.500 0.908 x1
F: 0.211 0.000 0.842 x1
F: 0.242 0.500 0.068 x1
F: 0.552 0.500 0.397 x1
F: 0.674 0.000 0.628 x1